Diffraction record for Sr3TlFe2O8. The powder diffractogram is computed, not measured: it uses DFT lattice parameters and positions (GGA+U) and Cu Kα X-rays.
Kinematic intensities with the Lorentz-polarization factor, no thermal factor.

Main lines, in order of rising 2θ (10 to 90 degrees two-theta):
- (0 1 1), 23.9 deg, intensity 196
- (0 2 1), 26.9 deg, intensity 243
- (1 3 0), 31.3 deg, intensity 1000
- (1 0 1), 32.5 deg, intensity 629
- (0 6 0), 42.8 deg, intensity 156
- (1 4 1), 43.6 deg, intensity 152
- (0 0 2), 46.6 deg, intensity 143
- (2 0 0), 46.8 deg, intensity 175
- (1 5 1), 48.9 deg, intensity 122
- (1 6 1), 54.8 deg, intensity 211
- (1 3 2), 57.2 deg, intensity 164
- (2 3 1), 57.3 deg, intensity 181

Structural model:
Cell lengths 3.884, 12.669, 3.900 Å; angles 90.00, 90.00, 90.00 degrees
Space group Pmm2 (No. 25)
Unique sites:
Sr  0.000  0.000  0.000 (multiplicity 1)
Sr  0.000  0.301  0.004 (multiplicity 2)
Tl  0.500  0.500  0.574 (multiplicity 1)
Fe  0.500  0.155  0.501 (multiplicity 2)
O  0.000  0.162  0.503 (multiplicity 2)
O  0.000  0.500  0.911 (multiplicity 1)
O  0.500  0.000  0.499 (multiplicity 1)
O  0.500  0.162  0.000 (multiplicity 2)
O  0.500  0.334  0.479 (multiplicity 2)